(1)
Structure and simulated XRD peak list of Li5Mn5Se8O24 (a structure optimized by DFT (GGA+U); Cu Kα (weighted mean of Kα1 and Kα2)).
Kinematic intensities with the Lorentz-polarization factor, no thermal factor.

Atomic structure:
Cell lengths 7.667, 8.522, 10.644 Å; angles 73.78, 88.42, 64.28 degrees
Space group P1 (No. 1)
Symmetry-distinct sites (fractional):
Li (0.000, 0.000, 0.000) [1 per cell]
Li (0.100, 0.001, 0.504) [1 per cell]
Li (0.399, 0.911, 0.338) [1 per cell]
Li (0.501, 0.911, 0.852) [1 per cell]
Li (0.810, 0.075, 0.255) [1 per cell]
Mn (0.691, 0.171, 0.703) [1 per cell]
Mn (0.694, 0.832, 0.589) [1 per cell]
Mn (0.753, 0.453, 0.926) [1 per cell]
Mn (0.754, 0.452, 0.422) [1 per cell]
Mn (0.811, 0.741, 0.146) [1 per cell]
Se (0.017, 0.697, 0.857) [1 per cell]
Se (0.042, 0.667, 0.444) [1 per cell]
Se (0.068, 0.275, 0.188) [1 per cell]
Se (0.077, 0.195, 0.720) [1 per cell]
Se (0.428, 0.712, 0.128) [1 per cell]
Se (0.434, 0.631, 0.661) [1 per cell]
Se (0.465, 0.242, 0.398) [1 per cell]
Se (0.492, 0.207, 0.992) [1 per cell]
O (0.017, 0.745, 0.002) [1 per cell]
O (0.108, 0.085, 0.314) [1 per cell]
O (0.239, 0.973, 0.773) [1 per cell]
O (0.266, 0.934, 0.073) [1 per cell]
O (0.402, 0.822, 0.535) [1 per cell]
O (0.486, 0.164, 0.844) [1 per cell]
O (0.523, 0.408, 0.944) [1 per cell]
O (0.528, 0.066, 0.332) [1 per cell]
O (0.537, 0.117, 0.566) [1 per cell]
O (0.551, 0.461, 0.587) [1 per cell]
O (0.560, 0.714, 0.261) [1 per cell]
O (0.610, 0.701, 0.019) [1 per cell]
O (0.630, 0.630, 0.748) [1 per cell]
O (0.655, 0.294, 0.351) [1 per cell]
O (0.715, 0.041, 0.072) [1 per cell]
O (0.790, 0.864, 0.774) [1 per cell]
O (0.850, 0.614, 0.496) [1 per cell]
O (0.875, 0.277, 0.099) [1 per cell]
O (0.895, 0.206, 0.829) [1 per cell]
O (0.944, 0.194, 0.586) [1 per cell]
O (0.952, 0.448, 0.261) [1 per cell]
O (0.968, 0.793, 0.282) [1 per cell]
O (0.979, 0.833, 0.523) [1 per cell]
O (0.983, 0.500, 0.901) [1 per cell]

Most intense lines, 10° ≤ 2θ ≤ 90°, low angle first:
two_theta  d_spacing  Rel. int.
12.89  6.867  186
20.09  4.420  200
23.65  3.762  176
24.24  3.671  1000
25.45  3.500  177
26.54  3.359  317
29.35  3.043  172
29.69  3.009  238
30.74  2.909  428
39.55  2.279  187

---

(2)
Structure and simulated XRD peak list of Li2Mn3Se4O12 (a structure optimized by DFT (GGA+U); Cu Kα (weighted mean of Kα1 and Kα2)).
Kinematic intensities with the Lorentz-polarization factor, no thermal factor.

Atomic structure:
Cell lengths 7.700, 8.548, 10.804 Å; angles 74.15, 88.12, 63.97 degrees
Space group P-1 (No. 2)
Symmetry-distinct sites (fractional):
Li (0.148, 0.455, 0.416) [2 per cell]
Li (0.251, 0.456, 0.930) [2 per cell]
Mn (0.439, 0.716, 0.783) [2 per cell]
Mn (0.445, 0.374, 0.673) [2 per cell]
Mn (0.500, 0.000, 0.000) [1 per cell]
Mn (0.500, 0.000, 0.500) [1 per cell]
Se (0.177, 0.259, 0.204) [2 per cell]
Se (0.180, 0.182, 0.730) [2 per cell]
Se (0.212, 0.788, 0.479) [2 per cell]
Se (0.227, 0.754, 0.067) [2 per cell]
O (0.010, 0.478, 0.153) [2 per cell]
O (0.143, 0.371, 0.604) [2 per cell]
O (0.241, 0.701, 0.923) [2 per cell]
O (0.251, 0.951, 0.025) [2 per cell]
O (0.278, 0.616, 0.407) [2 per cell]
O (0.286, 0.664, 0.641) [2 per cell]
O (0.299, 0.006, 0.659) [2 per cell]
O (0.308, 0.260, 0.336) [2 per cell]
O (0.357, 0.250, 0.096) [2 per cell]
O (0.368, 0.186, 0.813) [2 per cell]
O (0.402, 0.839, 0.427) [2 per cell]
O (0.458, 0.590, 0.152) [2 per cell]

Most intense lines, 10° ≤ 2θ ≤ 90°, low angle first:
two_theta  d_spacing  Rel. int.
12.86  6.884  259
19.82  4.479  255
24.19  3.679  1000
26.40  3.376  292
29.09  3.069  244
29.47  3.031  294
30.37  2.943  414
32.52  2.753  231
33.25  2.694  215
39.38  2.288  202

---

(3)
Structure and simulated XRD peak list of Li2MnSi3O8 (a structure optimized by DFT (GGA+U); Cu Kα (weighted mean of Kα1 and Kα2)).
Kinematic intensities with the Lorentz-polarization factor, no thermal factor.

Atomic structure:
Cell lengths 5.071, 6.303, 6.412 Å; angles 76.93, 73.94, 73.11 degrees
Space group P1 (No. 1)
Symmetry-distinct sites (fractional):
Li (0.000, 0.000, 0.000) [1 per cell]
Li (0.495, 0.657, 0.746) [1 per cell]
Mn (0.339, 0.631, 0.241) [1 per cell]
Si (0.012, 0.469, 0.031) [1 per cell]
Si (0.053, 0.120, 0.449) [1 per cell]
Si (0.441, 0.245, 0.661) [1 per cell]
O (0.031, 0.374, 0.297) [1 per cell]
O (0.076, 0.940, 0.301) [1 per cell]
O (0.140, 0.688, 0.967) [1 per cell]
O (0.230, 0.249, 0.910) [1 per cell]
O (0.333, 0.075, 0.556) [1 per cell]
O (0.421, 0.499, 0.541) [1 per cell]
O (0.698, 0.514, 0.996) [1 per cell]
O (0.778, 0.122, 0.668) [1 per cell]

Most intense lines, 10° ≤ 2θ ≤ 90°, low angle first:
two_theta  d_spacing  Rel. int.
14.88  5.955  534
18.78  4.726  829
19.13  4.639  604
21.43  4.146  498
22.49  3.954  1000
26.37  3.380  362
30.01  2.977  230
30.54  2.927  332
31.16  2.871  278
31.54  2.836  341

---

(4)
Structure and simulated XRD peak list of Li6MnSiO6 (a structure optimized by DFT (GGA+U); Cu Kα (weighted mean of Kα1 and Kα2)).
Kinematic intensities with the Lorentz-polarization factor, no thermal factor.

Atomic structure:
Cell lengths 8.274, 8.274, 8.274 Å; angles 90.00, 90.00, 90.00 degrees
Space group P2_13 (No. 198)
Symmetry-distinct sites (fractional):
Li (0.004, 0.237, 0.727) [12 per cell]
Li (0.020, 0.172, 0.334) [12 per cell]
Mn (0.126, 0.874, 0.374) [4 per cell]
Si (0.007, 0.007, 0.007) [4 per cell]
O (0.010, 0.510, 0.990) [4 per cell]
O (0.101, 0.387, 0.376) [12 per cell]
O (0.123, 0.123, 0.123) [4 per cell]
O (0.238, 0.262, 0.738) [4 per cell]

Most intense lines, 10° ≤ 2θ ≤ 90°, low angle first:
two_theta  d_spacing  Rel. int.
15.14  5.850  673
18.58  4.777  252
24.05  3.700  691
26.39  3.378  300
30.56  2.925  508
37.66  2.388  1000
39.26  2.295  398
40.81  2.211  324
50.55  1.805  286
63.62  1.463  518